This entry pairs a crystal structure of Li3Pd4Pb with its computed X-ray powder pattern. Radiation: Cu Kα (weighted mean of Kα1 and Kα2). Structure: a DFT-relaxed cell (GGA-PBE, Alexandria).

Main lines, by intensity (15° ≤ 2θ ≤ 90°):
2theta  I (rel.)
40.4  100
42.4  46
24.8  35
32.6  31
76.2  31
20.8  26
34.2  16
61.5  15

```
data_Li3Pd4Pb
_space_group_name_H-M_alt 'P 1'
_space_group_IT_number 1
_cell_length_a 4.264
_cell_length_b 4.264
_cell_length_c 6.653
_cell_angle_alpha 90.00
_cell_angle_beta 90.00
_cell_angle_gamma 90.00
loop_
_space_group_symop_operation_xyz
'x,y,z'
loop_
_atom_site_label
_atom_site_type_symbol
_atom_site_fract_x
_atom_site_fract_y
_atom_site_fract_z
_atom_site_occupancy
Li1 Li 0.000 0.000 0.000 1
Li2 Li 0.000 0.000 0.500 1
Li3 Li 0.500 0.500 0.000 1
Pd1 Pd 0.000 0.500 0.226 1
Pd2 Pd 0.000 0.500 0.774 1
Pd3 Pd 0.500 0.000 0.226 1
Pd4 Pd 0.500 0.000 0.774 1
Pb1 Pb 0.500 0.500 0.500 1
```